For KBa2Cd2Sb3, a structure optimized by DFT (GGA-PBE) gives the computed powder X-ray diffraction pattern in this record (a wavelength of 1.5418 Å).

Peak list (10 most intense, 10 to 90 degrees two-theta, in order of rising 2θ)
d (Å)  Rel. int.
3.625  19
3.337  32
3.266  71
3.150  100
3.106  21
2.916  23
2.620  71
2.507  57
2.379  32
2.157  20

Crystal structure
Cell: 13.3492 5.0138 16.9998 Å, 90.00 90.00 90.00°
Atoms (fractional coordinates):
1 K 0.1021 0.2500 0.0543
2 K 0.3979 0.7500 0.5543
3 K 0.6021 0.2500 0.4457
4 K 0.8979 0.7500 0.9457
5 Ba 0.0999 0.7500 0.4286
6 Ba 0.1278 0.2500 0.7898
7 Ba 0.3722 0.7500 0.2898
8 Ba 0.4001 0.2500 0.9286
9 Ba 0.5999 0.7500 0.0714
10 Ba 0.6278 0.2500 0.7102
11 Ba 0.8722 0.7500 0.2102
12 Ba 0.9001 0.2500 0.5714
13 Cd 0.1352 0.2500 0.2837
14 Cd 0.1952 0.2500 0.5844
15 Cd 0.3048 0.7500 0.0844
16 Cd 0.3648 0.7500 0.7837
17 Cd 0.6352 0.2500 0.2163
18 Cd 0.6952 0.2500 0.9156
19 Cd 0.8048 0.7500 0.4156
20 Cd 0.8648 0.7500 0.7163
21 Sb 0.0780 0.7500 0.6350
22 Sb 0.1344 0.7500 0.1970
23 Sb 0.2130 0.7500 0.9249
24 Sb 0.2870 0.2500 0.4249
25 Sb 0.3656 0.2500 0.6970
26 Sb 0.4220 0.2500 0.1350
27 Sb 0.5780 0.7500 0.8650
28 Sb 0.6344 0.7500 0.3030
29 Sb 0.7130 0.7500 0.5751
30 Sb 0.7870 0.2500 0.0751
31 Sb 0.8656 0.2500 0.8030
32 Sb 0.9220 0.2500 0.3650

For K2AuI2, a structure optimized by DFT (GGA-PBE) gives the computed powder X-ray diffraction pattern in this record (a wavelength of 1.5418 Å).

Peak list (10 most intense, 10 to 90 degrees two-theta, in order of rising 2θ)
d (Å)  Rel. int.
4.824  100
3.411  97
2.907  86
2.412  41
2.212  73
2.157  29
1.856  24
1.630  29
1.525  28
1.256  25

Crystal structure
Cell: 6.8185 6.8185 6.8185 Å, 119.96 119.96 90.07°
Atoms (fractional coordinates):
1 K 0.2500 0.7500 0.5000
2 K 0.7500 0.2500 0.5000
3 Au 0.0000 0.0000 0.0000
4 I 0.3096 0.3096 0.0000
5 I 0.6904 0.6904 0.0000

For Y2Rh7, a structure optimized by DFT (GGA-PBE) gives the computed powder X-ray diffraction pattern in this record (a wavelength of 1.5418 Å).

Peak list (10 most intense, 10 to 90 degrees two-theta, in order of rising 2θ)
d (Å)  Rel. int.
4.518  22
2.626  22
2.270  26
2.251  100
2.187  34
2.064  47
1.969  16
1.433  23
1.313  25
1.126  21

Crystal structure
Cell: 13.4689 13.4689 13.4689 Å, 22.49 22.49 22.49°
Atoms (fractional coordinates):
1 Y 0.0495 0.0495 0.0495
2 Y 0.1471 0.1471 0.1471
3 Y 0.8529 0.8529 0.8529
4 Y 0.9505 0.9505 0.9505
5 Rh 0.0000 0.5000 0.5000
6 Rh 0.1091 0.6113 0.6113
7 Rh 0.2776 0.2776 0.2776
8 Rh 0.3893 0.3893 0.3893
9 Rh 0.3887 0.3887 0.8909
10 Rh 0.3887 0.8909 0.3887
11 Rh 0.5000 0.0000 0.5000
12 Rh 0.5000 0.5000 0.0000
13 Rh 0.5000 0.5000 0.5000
14 Rh 0.6113 0.1091 0.6113
15 Rh 0.6113 0.6113 0.1091
16 Rh 0.6107 0.6107 0.6107
17 Rh 0.7224 0.7224 0.7224
18 Rh 0.8909 0.3887 0.3887

For Ac2Ru3O10, a structure optimized by DFT (GGA-PBE) gives the computed powder X-ray diffraction pattern in this record (a wavelength of 1.5418 Å).

Peak list (10 most intense, 10 to 90 degrees two-theta, in order of rising 2θ)
d (Å)  Rel. int.
3.162  100
3.123  61
3.054  52
2.863  23
2.383  13
2.235  19
2.089  36
1.789  19
1.769  12
1.705  16

Crystal structure
Cell: 9.5991 9.5991 7.7254 Å, 111.19 111.19 34.71°
Atoms (fractional coordinates):
1 Ac 0.1156 0.1156 0.2131
2 Ac 0.2188 0.2188 0.8080
3 Ac 0.7812 0.7812 0.1920
4 Ac 0.8844 0.8844 0.7869
5 Ru 0.2226 0.7774 0.5000
6 Ru 0.3230 0.3230 0.4820
7 Ru 0.4226 0.4226 0.0426
8 Ru 0.5774 0.5774 0.9574
9 Ru 0.6770 0.6770 0.5180
10 Ru 0.7774 0.2226 0.5000
11 O 0.0000 0.5000 0.5000
12 O 0.0227 0.0227 0.7077
13 O 0.1065 0.5928 0.0333
14 O 0.1226 0.6554 0.4798
15 O 0.2659 0.2659 0.2229
16 O 0.2702 0.7298 0.0000
17 O 0.3446 0.8774 0.5202
18 O 0.3641 0.3641 0.7647
19 O 0.4072 0.8935 0.9667
20 O 0.4764 0.4764 0.3223
21 O 0.5000 0.0000 0.5000
22 O 0.5236 0.5236 0.6777
23 O 0.5928 0.1065 0.0333
24 O 0.6359 0.6359 0.2353
25 O 0.6554 0.1226 0.4798
26 O 0.7298 0.2702 0.0000
27 O 0.7341 0.7341 0.7771
28 O 0.8774 0.3446 0.5202
29 O 0.8935 0.4072 0.9667
30 O 0.9773 0.9773 0.2923

For ThSc2Pd3, a structure optimized by DFT (GGA-PBE) gives the computed powder X-ray diffraction pattern in this record (a wavelength of 1.5418 Å).

Peak list (10 most intense, 10 to 90 degrees two-theta, in order of rising 2θ)
d (Å)  Rel. int.
4.659  70
3.404  24
2.492  52
2.329  23
2.198  100
1.702  33
1.439  15
1.318  19
1.224  17
1.204  14

Crystal structure
Cell: 5.7561 5.7561 4.6589 Å, 90.00 90.00 120.00°
Atoms (fractional coordinates):
1 Th 0.0000 0.0000 0.0000
2 Sc 0.3333 0.6667 0.5000
3 Sc 0.6667 0.3333 0.5000
4 Pd 0.0000 0.5000 0.0000
5 Pd 0.5000 0.0000 0.0000
6 Pd 0.5000 0.5000 0.0000

For Pr2Y2Ag3, a structure optimized by DFT (GGA-PBE) gives the computed powder X-ray diffraction pattern in this record (a wavelength of 1.5418 Å).

Peak list (10 most intense, 10 to 90 degrees two-theta, in order of rising 2θ)
d (Å)  Rel. int.
4.401  18
2.600  100
2.582  67
2.574  33
1.834  23
1.826  11
1.506  11
1.494  23
1.492  12
1.489  12

Crystal structure
Cell: 5.1490 5.1598 9.0173 Å, 73.61 73.61 60.17°
Atoms (fractional coordinates):
1 Pr 0.1264 0.1275 0.1183
2 Pr 0.8736 0.8725 0.8817
3 Y 0.3755 0.3762 0.3720
4 Y 0.6245 0.6238 0.6280
5 Ag 0.0000 0.0000 0.5000
6 Ag 0.2552 0.2544 0.7347
7 Ag 0.7448 0.7456 0.2653

For Li4Zr3, a structure optimized by DFT (GGA-PBE) gives the computed powder X-ray diffraction pattern in this record (a wavelength of 1.5418 Å).

Peak list (10 most intense, 10 to 90 degrees two-theta, in order of rising 2θ)
d (Å)  Rel. int.
5.497  100
4.953  25
3.680  25
2.748  19
2.537  13
2.476  44
2.258  66
1.840  30
1.473  17
1.384  12

Crystal structure
Cell: 5.7190 5.7190 5.4969 Å, 90.00 90.00 120.00°
Atoms (fractional coordinates):
1 Li 0.0000 0.0000 0.2357
2 Li 0.0000 0.0000 0.7643
3 Li 0.3333 0.6667 0.0000
4 Li 0.6667 0.3333 0.0000
5 Zr 0.0000 0.5000 0.5000
6 Zr 0.5000 0.0000 0.5000
7 Zr 0.5000 0.5000 0.5000